(1)
For BC2, a crystal structure in Alexandria, relaxed with GGA-PBE gives the calculated powder XRD pattern in this record (copper Kα).

Most intense lines, 2θ from 5° to 70°, low angle first:
d 7.442, rel. 3; d 3.956, rel. 18; d 3.721, rel. 2; d 3.489, rel. 4; d 2.705, rel. 2; d 2.588, rel. 2; d 2.166, rel. 100; d 2.106, rel. 49; d 2.098, rel. 46; d 1.750, rel. 1; d 1.572, rel. 3; d 1.538, rel. 1

Atomic structure:
```
BC2
1.0
3.9564 0.0000 0.0000
0.0000 2.5882 0.0000
-0.0324 0.0000 7.4419
B C
4 8
Direct
0.1486 0.0000 0.2521
0.1653 0.0000 0.5678
0.8347 0.0000 0.4322
0.8514 0.0000 0.7479
0.1374 0.0000 0.9208
0.3676 0.5000 0.9183
0.3942 0.5000 0.5846
0.4047 0.5000 0.2476
0.5953 0.5000 0.7524
0.6058 0.5000 0.4154
0.6324 0.5000 0.0817
0.8626 0.0000 0.0792
```

(2)
For PmGe4Pt4, a crystal structure in Alexandria, relaxed with GGA-PBE gives the calculated powder XRD pattern in this record (copper Kα).

Most intense lines, 2θ from 5° to 70°, low angle first:
d 4.143, rel. 22; d 3.058, rel. 24; d 2.989, rel. 68; d 2.709, rel. 100; d 2.536, rel. 62; d 2.266, rel. 55; d 2.092, rel. 23; d 1.988, rel. 67; d 1.970, rel. 37; d 1.690, rel. 48; d 1.602, rel. 30; d 1.349, rel. 27

Atomic structure:
```
PmGe4Pt4
1.0
6.4087 0.0000 0.0000
0.0000 6.4087 0.0000
0.0000 0.0000 8.2860
Pm Ge Pt
2 8 8
Direct
0.2500 0.7500 0.2500
0.7500 0.2500 0.7500
0.0134 0.2500 0.1278
0.2500 0.0134 0.6278
0.2500 0.4866 0.6278
0.4866 0.2500 0.1278
0.5134 0.7500 0.8722
0.7500 0.5134 0.3722
0.7500 0.9866 0.3722
0.9866 0.7500 0.8722
0.0355 0.2500 0.4321
0.2500 0.0355 0.9321
0.2500 0.4645 0.9321
0.4645 0.2500 0.4321
0.5355 0.7500 0.5679
0.7500 0.5355 0.0679
0.7500 0.9645 0.0679
0.9645 0.7500 0.5679
```

(3)
For Zr2Ag, a crystal structure in Alexandria, relaxed with GGA-PBE gives the calculated powder XRD pattern in this record (copper Kα).

Most intense lines, 2θ from 5° to 70°, low angle first:
d 10.815, rel. 12; d 2.487, rel. 100; d 2.430, rel. 51; d 2.371, rel. 1; d 2.163, rel. 1; d 2.125, rel. 7; d 1.803, rel. 7; d 1.718, rel. 17; d 1.616, rel. 2; d 1.545, rel. 1; d 1.448, rel. 13; d 1.414, rel. 32

Atomic structure:
```
Zr2Ag
1.0
3.4361 0.0000 0.0000
0.0000 3.4361 0.0000
0.0000 0.0000 10.8151
Zr Ag
4 2
Direct
0.2500 0.2500 0.0930
0.2500 0.2500 0.7269
0.7500 0.7500 0.2731
0.7500 0.7500 0.9070
0.2500 0.2500 0.4286
0.7500 0.7500 0.5714
```